# 1
This entry pairs a crystal structure of Nd3Se3O with its simulated PXRD pattern. Radiation: λ = 1.5418 Å (Cu Kα). Structure: a cell relaxed with GGA-PBE.
Lines closer than 0.1° are merged.

Crystal structure
Lattice parameters (Å, degrees): 12.248 4.129 13.405 90.00 90.00 90.00
Space group Pnma (No. 62)
Unique sites:
Nd  0.024  0.250  0.160
Nd  0.103  0.250  0.613
Nd  0.239  0.250  0.870
Se  0.073  0.250  0.389
Se  0.144  0.750  0.010
Se  0.236  0.750  0.709
O  0.056  0.250  0.799

Most intense lines, 2θ from 15° to 90°, low angle first:
2θ 25.5, I 51, (3 0 2)
2θ 26.0, I 38, (2 1 0)
2θ 26.4, I 44, (1 1 2)
2θ 26.6, I 55, (0 0 4)
2θ 26.9, I 38, (2 1 1)
2θ 30.4, I 59, (1 1 3)
2θ 31.5, I 100, (3 1 1)
2θ 33.0, I 41, (2 1 3)
2θ 34.2, I 38, (1 0 5)
2θ 37.6, I 84, (2 1 4)
2θ 42.8, I 40, (2 1 5)
2θ 43.9, I 64, (0 2 0)


# 2
This entry pairs a crystal structure of Nd2Ta3Se2O8 with its simulated PXRD pattern. Radiation: λ = 1.5418 Å (Cu Kα). Structure: a cell relaxed with GGA-PBE.
Lines closer than 0.1° are merged.

Crystal structure
Lattice parameters (Å, degrees): 9.982 11.952 7.655 90.00 90.00 90.00
Space group Pnnm (No. 58)
Unique sites:
Nd  0.210  0.156  0.000
Nd  0.227  0.148  0.500
Ta  0.000  0.500  0.286
Ta  0.136  0.916  0.250
Se  0.019  0.336  0.500
Se  0.023  0.361  0.000
O  0.056  0.104  0.254
O  0.136  0.949  0.000
O  0.151  0.952  0.500
O  0.197  0.525  0.265
O  0.213  0.775  0.248

Most intense lines, 2θ from 15° to 90°, low angle first:
2θ 27.7, I 60, (0 2 2)
2θ 27.8, I 99, (3 1 0)
2θ 28.7, I 25, (2 3 0)
2θ 29.1, I 100, (1 2 2)
2θ 30.4, I 38, (2 1 2)
2θ 30.8, I 39, (3 2 0)
2θ 31.2, I 29, (1 4 0)
2θ 33.7, I 29, (1 3 2)
2θ 37.2, I 30, (2 3 2)
2θ 42.6, I 28, (3 3 2)
2θ 47.5, I 34, (0 0 4)
2θ 53.5, I 36, (4 4 2)


# 3
This entry pairs a crystal structure of Nd2SiTeO4 with its simulated PXRD pattern. Radiation: λ = 1.5418 Å (Cu Kα). Structure: a cell relaxed with GGA-PBE.
Lines closer than 0.1° are merged.

Crystal structure
Lattice parameters (Å, degrees): 6.358 7.265 11.300 90.00 90.00 90.00
Space group Pbcm (No. 57)
Unique sites:
Nd  0.112  0.250  0.000
Nd  0.387  0.539  0.250
Si  0.386  0.750  0.000
Te  0.096  0.579  0.750
O  0.230  0.577  0.036
O  0.452  0.231  0.615

Most intense lines, 2θ from 15° to 90°, low angle first:
2θ 24.4, I 26, (1 1 2)
2θ 29.2, I 75, (0 2 2)
2θ 29.4, I 20, (1 2 1)
2θ 31.7, I 100, (0 0 4)
2θ 34.7, I 31, (2 1 2)
2θ 37.2, I 13, (1 2 3)
2θ 39.1, I 32, (2 1 3)
2θ 39.8, I 16, (1 3 0)
2θ 51.2, I 14, (2 1 5)
2θ 58.0, I 13, (4 0 0)
2θ 66.2, I 13, (0 0 8)
2θ 66.3, I 14, (4 2 2)


# 4
This entry pairs a crystal structure of NdTlSiO4 with its simulated PXRD pattern. Radiation: λ = 1.5418 Å (Cu Kα). Structure: a cell relaxed with GGA-PBE.
Lines closer than 0.1° are merged.

Crystal structure
Lattice parameters (Å, degrees): 5.989 5.644 7.886 90.00 104.45 90.00
Space group P2_1/m (No. 11)
Unique sites:
Nd  0.225  0.250  0.069
Tl  0.305  0.250  0.615
Si  0.255  0.750  0.855
O  0.078  0.521  0.837
O  0.420  0.750  0.718
O  0.428  0.750  0.055

Most intense lines, 2θ from 15° to 90°, low angle first:
2θ 21.4, I 22, (1 0 1)
2θ 22.0, I 100, (1 1 0)
2θ 24.5, I 31, (1 0 -2)
2θ 28.2, I 71, (0 1 2)
2θ 29.2, I 15, (1 1 -2)
2θ 30.8, I 22, (2 0 0)
2θ 31.1, I 19, (1 0 2)
2θ 31.7, I 36, (0 2 0)
2θ 37.5, I 30, (2 1 -2)
2θ 40.5, I 25, (1 2 -2)
2θ 44.8, I 20, (2 2 0)
2θ 49.9, I 16, (3 1 0)


# 5
This entry pairs a crystal structure of NdSmO3 with its simulated PXRD pattern. Radiation: λ = 1.5418 Å (Cu Kα). Structure: a cell relaxed with GGA-PBE.
Lines closer than 0.1° are merged.

Crystal structure
Lattice parameters (Å, degrees): 6.1925 6.1925 3.1817 90.00 90.00 120.00
Space group P-6m2 (No. 187)
Unique sites:
Nd  0.0000  0.0000  0.0000
Sm  0.3333  0.6667  0.0000
O  0.1685  0.3370  0.5000

Most intense lines, 2θ from 15° to 90°, low angle first:
2θ 16.5, I 100, (1 0 0)
2θ 28.0, I 20, (0 0 1)
2θ 28.8, I 73, (1 1 0)
2θ 32.7, I 23, (1 0 1)
2θ 40.7, I 73, (1 1 1)
2θ 44.2, I 22, (2 0 1)
2θ 44.7, I 15, (2 1 0)
2θ 51.1, I 15, (3 0 0)
2θ 59.3, I 24, (3 0 1)
2θ 59.7, I 14, (2 2 0)
2θ 66.0, I 14, (1 1 2)
2θ 89.2, I 15, (4 1 1)


# 6
This entry pairs a crystal structure of NdSm2UO8 with its simulated PXRD pattern. Radiation: λ = 1.5418 Å (Cu Kα). Structure: a cell relaxed with GGA-PBE.
Lines closer than 0.1° are merged.

Crystal structure
Lattice parameters (Å, degrees): 3.949 5.477 7.692 90.00 90.00 90.00
Space group Pmmm (No. 47)
Unique sites:
Nd  0.000  0.000  0.000
Sm  0.500  0.500  0.254
U  0.000  0.000  0.500
O  0.000  0.239  0.280
O  0.500  0.224  0.500
O  0.500  0.256  0.000

Most intense lines, 2θ from 15° to 90°, low angle first:
2θ 27.9, I 100, (1 1 0)
2θ 28.4, I 95, (0 1 2)
2θ 32.5, I 43, (1 0 2)
2θ 32.7, I 21, (0 2 0)
2θ 46.0, I 18, (2 0 0)
2θ 46.8, I 67, (1 2 2)
2θ 47.3, I 16, (0 0 4)
2θ 54.9, I 31, (2 1 2)
2θ 55.4, I 15, (1 3 0)
2θ 55.7, I 44, (0 3 2)
2θ 75.0, I 12, (2 3 2)
2θ 75.8, I 12, (1 3 4)


# 7
This entry pairs a crystal structure of Nd4Sn2O with its simulated PXRD pattern. Radiation: λ = 1.5418 Å (Cu Kα). Structure: a cell relaxed with GGA-PBE.
Lines closer than 0.1° are merged.

Crystal structure
Lattice parameters (Å, degrees): 6.602 6.894 9.507 90.00 110.04 90.00
Space group P2_1/m (No. 11)
Unique sites:
Nd  0.194  0.250  0.048
Nd  0.240  0.505  0.707
Nd  0.277  0.750  0.341
Sn  0.241  0.250  0.403
Sn  0.338  0.750  0.029
O  0.090  0.250  0.788

Most intense lines, 2θ from 15° to 90°, low angle first:
2θ 28.5, I 42, (1 0 -3)
2θ 28.8, I 100, (2 0 0)
2θ 29.7, I 95, (1 2 -1)
2θ 30.0, I 63, (0 0 3)
2θ 31.7, I 36, (2 1 0)
2θ 32.8, I 61, (0 2 2)
2θ 32.9, I 94, (1 2 1)
2θ 33.8, I 24, (2 0 -3)
2θ 37.7, I 29, (1 0 3)
2θ 39.1, I 25, (2 2 -2)
2θ 49.4, I 42, (3 2 -1)
2θ 53.1, I 24, (0 4 0)


# 8
This entry pairs a crystal structure of Nd4Sn6O19 with its simulated PXRD pattern. Radiation: λ = 1.5418 Å (Cu Kα). Structure: a cell relaxed with GGA-PBE.
Lines closer than 0.1° are merged.

Crystal structure
Lattice parameters (Å, degrees): 9.487 9.487 9.487 90.00 90.00 90.00
Space group I23 (No. 197)
Unique sites:
Nd  0.147  0.147  0.853
Sn  0.000  0.335  0.500
O  0.000  0.000  0.000
O  0.000  0.000  0.348
O  0.037  0.323  0.715

Most intense lines, 2θ from 15° to 90°, low angle first:
2θ 23.0, I 69, (2 1 1)
2θ 29.8, I 100, (3 1 0)
2θ 32.7, I 26, (2 2 2)
2θ 35.4, I 56, (3 2 1)
2θ 40.3, I 17, (3 3 0)
2θ 46.9, I 20, (4 2 2)
2θ 49.0, I 50, (4 1 3)
2θ 52.9, I 27, (5 1 2)
2θ 58.4, I 29, (6 0 0)
2θ 60.1, I 15, (5 3 2)
2θ 66.9, I 18, (6 3 1)
2θ 88.7, I 18, (7 3 4)